TlTeO3: theoretical powder XRD pattern (Cu Kα X-rays), based on a DFT-relaxed cell (PBE, Alexandria).
Intensities are scaled so that the largest is 100.

Structural model:
a b c (Å): 6.5256 6.5256 13.5418
angles (deg): 90.00 90.00 120.00
Space group R-3 (No. 148, hexagonal axes)
Unique sites:
1 Tl 0.0000 0.0000 0.1066
2 Te 0.0000 0.0000 0.3373
3 O 0.0007 0.2396 0.2524

Most intense lines, 2θ from 15° to 90°, most intense first:
two_theta  d_spacing  I_rel
27.33  3.263  100
30.79  2.904  41
36.80  2.442  29
50.52  1.806  28
17.00  5.215  26
48.31  1.884  25
41.63  2.169  24
54.73  1.677  19
68.70  1.366  16
46.44  1.955  15